1.
MnCu2SbO4: simulated powder XRD pattern (Cu Kα (weighted mean of Kα1 and Kα2)), based on a crystal structure in the Materials Project, relaxed with PBE+U.

Structure:
```
data_MnCu2SbO4
_space_group_name_H-M_alt 'P -3 m 1'
_space_group_IT_number 164
_space_group_name_Hall '-P 3 2"'
_cell_length_a 3.3746
_cell_length_b 3.3746
_cell_length_c 11.6415
_cell_angle_alpha 90.00
_cell_angle_beta 90.00
_cell_angle_gamma 120.00
loop_
_atom_site_label
_atom_site_type_symbol
_atom_site_fract_x
_atom_site_fract_y
_atom_site_fract_z
_atom_site_occupancy
Mn1 Mn 0.0000 0.0000 0.0000 1
Cu1 Cu 0.3333 0.6667 0.7648 1
Sb1 Sb 0.0000 0.0000 0.5000 1
O1 O 0.3333 0.6667 0.6058 1
O2 O 0.3333 0.6667 0.9196 1
```

Largest 12 diffraction maxima, low angle first, 2θ = 10–90°:
2theta, Rel. int.
15.2, 11.7
30.7, 28.2
31.6, 65.8
34.3, 100.0
38.6, 8.9
43.9, 17.0
50.1, 14.4
54.4, 32.4
57.0, 29.9
63.8, 21.5
65.9, 14.1
82.7, 9.4

=====

2.
MgV4O10: simulated powder XRD pattern (Cu Kα (weighted mean of Kα1 and Kα2)), based on a crystal structure in the Materials Project, relaxed with PBE+U.

Structure:
```
data_MgV4O10
_space_group_name_H-M_alt 'P 1 m 1'
_space_group_IT_number 6
_space_group_name_Hall 'P -2y'
_cell_length_a 6.3949
_cell_length_b 3.6692
_cell_length_c 7.9613
_cell_angle_alpha 90.00
_cell_angle_beta 91.47
_cell_angle_gamma 90.00
loop_
_atom_site_label
_atom_site_type_symbol
_atom_site_fract_x
_atom_site_fract_y
_atom_site_fract_z
_atom_site_occupancy
Mg1 Mg 0.0000 0.0000 0.0000 1
V1 V 0.0945 0.5000 0.6722 1
V2 V 0.1406 0.0000 0.3629 1
V3 V 0.5334 0.5000 0.5188 1
V4 V 0.5652 0.0000 0.1811 1
O1 O 0.0307 0.5000 0.8952 1
O2 O 0.0801 0.0000 0.6155 1
O3 O 0.1985 0.5000 0.4202 1
O4 O 0.2899 0.0000 0.1447 1
O5 O 0.3938 0.5000 0.7057 1
O6 O 0.4858 0.0000 0.4520 1
O7 O 0.5882 0.5000 0.2558 1
O8 O 0.6654 0.0000 0.9920 1
O9 O 0.7802 0.5000 0.5912 1
O10 O 0.9065 0.0000 0.2552 1
```

Largest 12 diffraction maxima, low angle first, 2θ = 10–90°:
2theta, Rel. int.
11.1, 88.8
18.0, 44.8
26.8, 100.0
27.9, 44.1
30.4, 21.4
36.3, 45.8
44.3, 28.0
49.7, 27.2
54.0, 19.4
55.4, 18.6
63.1, 13.3
68.7, 17.3

=====

3.
NaMoP2O8: simulated powder XRD pattern (Cu Kα (weighted mean of Kα1 and Kα2)), based on a crystal structure in the Materials Project, relaxed with PBE+U.

Structure:
```
data_NaMoP2O8
_space_group_name_H-M_alt 'P 21 21 21'
_space_group_IT_number 19
_space_group_name_Hall 'P 2ac 2ab'
_cell_length_a 5.3123
_cell_length_b 10.8312
_cell_length_c 11.7776
_cell_angle_alpha 90.00
_cell_angle_beta 90.00
_cell_angle_gamma 90.00
loop_
_atom_site_label
_atom_site_type_symbol
_atom_site_fract_x
_atom_site_fract_y
_atom_site_fract_z
_atom_site_occupancy
Na1 Na 0.2095 0.1978 0.3792 1
Mo1 Mo 0.2399 0.4110 0.1395 1
P1 P 0.2406 0.1348 0.6802 1
P2 P 0.2421 0.0912 0.0453 1
O1 O 0.0028 0.5532 0.5138 1
O2 O 0.0128 0.6620 0.7603 1
O3 O 0.0299 0.9552 0.4777 1
O4 O 0.0355 0.8375 0.2600 1
O5 O 0.2297 0.7995 0.0696 1
O6 O 0.2465 0.7741 0.5767 1
O7 O 0.2482 0.9840 0.6639 1
O8 O 0.2494 0.5542 0.1998 1
```

Largest 12 diffraction maxima, low angle first, 2θ = 10–90°:
2theta, Rel. int.
11.1, 19.9
17.1, 18.9
18.0, 62.2
22.5, 100.0
24.7, 14.0
25.8, 34.1
28.0, 16.6
29.5, 16.9
32.8, 38.9
33.7, 21.8
46.0, 15.5
54.8, 12.7

=====

4.
RbNa2CrF6: simulated powder XRD pattern (Cu Kα (weighted mean of Kα1 and Kα2)), based on a crystal structure in the Materials Project, relaxed with PBE+U.

Structure:
```
data_RbNa2CrF6
_space_group_name_H-M_alt 'F m -3 m'
_space_group_IT_number 225
_space_group_name_Hall '-F 4 2 3'
_cell_length_a 9.0181
_cell_length_b 9.0181
_cell_length_c 9.0181
_cell_angle_alpha 90.00
_cell_angle_beta 90.00
_cell_angle_gamma 90.00
loop_
_atom_site_label
_atom_site_type_symbol
_atom_site_fract_x
_atom_site_fract_y
_atom_site_fract_z
_atom_site_occupancy
Rb1 Rb 0.0000 0.0000 0.0000 1
Na1 Na 0.2500 0.2500 0.2500 1
Cr1 Cr 0.0000 0.0000 0.5000 1
F1 F 0.0000 0.0000 0.2866 1
```

Largest 12 diffraction maxima, low angle first, 2θ = 10–90°:
2theta, Rel. int.
19.7, 91.6
28.0, 100.0
32.9, 8.1
40.0, 63.0
43.8, 12.3
45.0, 29.3
49.5, 33.0
57.8, 33.5
61.7, 12.9
65.5, 22.0
72.6, 9.3
79.5, 21.2

=====

5.
Li2VOF3: simulated powder XRD pattern (Cu Kα (weighted mean of Kα1 and Kα2)), based on a crystal structure in the Materials Project, relaxed with PBE+U.

Structure:
```
data_Li2VOF3
_space_group_name_H-M_alt 'P 1'
_space_group_IT_number 1
_space_group_name_Hall 'P 1'
_cell_length_a 7.8437
_cell_length_b 7.8457
_cell_length_c 10.9684
_cell_angle_alpha 69.14
_cell_angle_beta 69.45
_cell_angle_gamma 79.86
loop_
_atom_site_label
_atom_site_type_symbol
_atom_site_fract_x
_atom_site_fract_y
_atom_site_fract_z
_atom_site_occupancy
Li1 Li 0.0000 0.0000 0.0000 1
Li2 Li 0.9996 0.0009 0.4976 1
Li3 Li 0.0964 0.6282 0.5295 1
Li4 Li 0.1004 0.6371 0.0206 1
Li5 Li 0.2318 0.7737 0.2540 1
Li6 Li 0.2355 0.7651 0.7470 1
Li7 Li 0.3638 0.3910 0.2540 1
Li8 Li 0.3647 0.3617 0.7764 1
Li9 Li 0.4972 0.4998 0.4973 1
Li10 Li 0.5009 0.5018 0.9890 1
Li11 Li 0.5943 0.1348 0.5255 1
Li12 Li 0.5978 0.1316 0.0249 1
Li13 Li 0.7258 0.2657 0.2501 1
Li14 Li 0.7337 0.2648 0.7479 1
Li15 Li 0.8657 0.8632 0.7743 1
Li16 Li 0.8659 0.8647 0.2749 1
V1 V 0.1529 0.1429 0.7093 1
V2 V 0.1530 0.1495 0.2054 1
V3 V 0.3790 0.9172 0.9593 1
V4 V 0.3787 0.9253 0.4563 1
V5 V 0.6553 0.6449 0.7052 1
V6 V 0.6547 0.6464 0.2068 1
V7 V 0.8779 0.4204 0.9579 1
V8 V 0.8794 0.4213 0.4563 1
O1 O 0.1798 0.9930 0.6002 1
O2 O 0.1816 0.9920 0.1003 1
O3 O 0.2253 0.9422 0.8521 1
O4 O 0.2259 0.9539 0.3485 1
O5 O 0.6784 0.4942 0.0987 1
O6 O 0.6804 0.4929 0.5983 1
O7 O 0.7254 0.4481 0.3493 1
O8 O 0.7296 0.4462 0.8470 1
F1 F 0.9996 0.6680 0.3716 1
F2 F 0.0005 0.6655 0.8674 1
F3 F 0.0452 0.3721 0.5840 1
F4 F 0.0480 0.3772 0.0795 1
F5 F 0.1066 0.3097 0.8346 1
F6 F 0.1069 0.3210 0.3273 1
F7 F 0.3031 0.6581 0.5710 1
F8 F 0.3046 0.6492 0.0744 1
F9 F 0.3889 0.5751 0.3217 1
F10 F 0.3907 0.5666 0.8222 1
F11 F 0.3977 0.2654 0.6219 1
F12 F 0.3997 0.2688 0.1136 1
F13 F 0.4917 0.1747 0.3685 1
F14 F 0.4997 0.1636 0.8692 1
F15 F 0.5456 0.8760 0.5830 1
F16 F 0.5485 0.8748 0.0817 1
F17 F 0.6070 0.8092 0.8339 1
F18 F 0.6076 0.8177 0.3308 1
F19 F 0.8015 0.1551 0.0728 1
F20 F 0.8022 0.1558 0.5704 1
F21 F 0.8880 0.0662 0.8228 1
F22 F 0.8884 0.0713 0.3201 1
F23 F 0.9000 0.7667 0.6187 1
F24 F 0.9018 0.7646 0.1197 1
```

Largest 12 diffraction maxima, low angle first, 2θ = 10–90°:
2theta, Rel. int.
16.6, 76.9
25.4, 100.0
25.5, 39.3
32.7, 19.9
34.9, 17.3
38.2, 35.2
40.3, 14.2
41.1, 14.5
49.2, 14.1
52.1, 16.2
62.0, 12.4
63.5, 23.1

=====

6.
UMo4PbO16: simulated powder XRD pattern (Cu Kα (weighted mean of Kα1 and Kα2)), based on a crystal structure in the Materials Project, relaxed with PBE+U.

Structure:
```
data_UMo4PbO16
_space_group_name_H-M_alt 'P 1 2/c 1'
_space_group_IT_number 13
_space_group_name_Hall '-P 2yc'
_cell_length_a 8.7165
_cell_length_b 6.8456
_cell_length_c 14.5004
_cell_angle_alpha 90.00
_cell_angle_beta 126.34
_cell_angle_gamma 90.00
loop_
_atom_site_label
_atom_site_type_symbol
_atom_site_fract_x
_atom_site_fract_y
_atom_site_fract_z
_atom_site_occupancy
U1 U 0.0000 0.1941 0.2500 1
Mo1 Mo 0.2017 0.3361 0.9038 1
Mo2 Mo 0.2945 0.3373 0.5936 1
Pb1 Pb 0.5000 0.1894 0.2500 1
O1 O 0.0000 0.4438 0.7500 1
O2 O 0.0985 0.3482 0.5967 1
O3 O 0.1269 0.0846 0.8688 1
O4 O 0.1821 0.3512 0.4296 1
O5 O 0.2060 0.1984 0.2460 1
O6 O 0.3101 0.3595 0.0595 1
O7 O 0.3552 0.0892 0.6138 1
O8 O 0.3977 0.3449 0.9014 1
O9 O 0.5000 0.4243 0.7500 1
```

Largest 12 diffraction maxima, low angle first, 2θ = 10–90°:
2theta, Rel. int.
15.0, 19.6
15.2, 20.9
20.0, 18.9
20.4, 100.0
25.3, 27.1
25.6, 21.4
26.0, 21.4
26.3, 95.1
27.1, 35.8
33.3, 48.6
33.7, 21.2
34.2, 20.8

=====

7.
Li2ZnCr3S6O24: simulated powder XRD pattern (Cu Kα (weighted mean of Kα1 and Kα2)), based on a crystal structure in the Materials Project, relaxed with PBE+U.

Structure:
```
data_Li2ZnCr3S6O24
_space_group_name_H-M_alt 'P 1'
_space_group_IT_number 1
_space_group_name_Hall 'P 1'
_cell_length_a 8.3816
_cell_length_b 8.4169
_cell_length_c 8.9555
_cell_angle_alpha 90.94
_cell_angle_beta 116.62
_cell_angle_gamma 119.77
loop_
_atom_site_label
_atom_site_type_symbol
_atom_site_fract_x
_atom_site_fract_y
_atom_site_fract_z
_atom_site_occupancy
Li1 Li 0.0000 0.0000 0.0000 1
Li2 Li 0.2444 0.6593 0.0030 1
Zn1 Zn 0.8564 0.2653 0.9009 1
Cr1 Cr 0.4876 0.0819 0.3133 1
Cr2 Cr 0.4922 0.5733 0.8262 1
Cr3 Cr 0.9009 0.7782 0.4403 1
S1 S 0.3864 0.1680 0.6201 1
S2 S 0.4002 0.3926 0.1190 1
S3 S 0.6893 0.9591 0.1264 1
S4 S 0.6922 0.8768 0.6258 1
S5 S 0.9734 0.6713 0.1204 1
S6 S 0.9950 0.4805 0.6270 1
O1 O 0.0083 0.7353 0.2926 1
O2 O 0.0579 0.6738 0.6036 1
O3 O 0.1686 0.0433 0.5966 1
O4 O 0.1731 0.4557 0.6695 1
O5 O 0.1820 0.7930 0.1280 1
O6 O 0.2356 0.4352 0.0784 1
O7 O 0.3122 0.1926 0.1274 1
O8 O 0.3700 0.1285 0.4510 1
O9 O 0.4504 0.4034 0.9772 1
O10 O 0.4634 0.3739 0.6711 1
O11 O 0.5062 0.7658 0.9837 1
O12 O 0.5343 0.1295 0.7569 1
O13 O 0.5364 0.7428 0.6737 1
O14 O 0.5752 0.9100 0.4661 1
O15 O 0.5827 0.0474 0.1445 1
O16 O 0.6001 0.5263 0.2905 1
O17 O 0.8007 0.7893 0.6033 1
O18 O 0.8021 0.3278 0.4675 1
O19 O 0.8021 0.9272 0.2917 1
O20 O 0.8231 0.7155 0.9828 1
O21 O 0.8426 0.0782 0.0723 1
O22 O 0.8687 0.0607 0.7770 1
O23 O 0.8896 0.4670 0.0725 1
O24 O 0.9622 0.4759 0.7796 1
```

Largest 12 diffraction maxima, low angle first, 2θ = 10–90°:
2theta, Rel. int.
14.3, 74.4
14.6, 38.5
19.6, 30.1
19.8, 28.1
19.9, 33.7
24.0, 100.0
24.3, 72.6
24.5, 27.9
29.0, 24.8
29.4, 25.4
31.4, 41.7
31.5, 23.8

=====

Please write out number 3 again, unchanged.
NaMoP2O8: simulated powder XRD pattern (Cu Kα (weighted mean of Kα1 and Kα2)), based on a crystal structure in the Materials Project, relaxed with PBE+U.

Structure:
```
data_NaMoP2O8
_space_group_name_H-M_alt 'P 21 21 21'
_space_group_IT_number 19
_space_group_name_Hall 'P 2ac 2ab'
_cell_length_a 5.3123
_cell_length_b 10.8312
_cell_length_c 11.7776
_cell_angle_alpha 90.00
_cell_angle_beta 90.00
_cell_angle_gamma 90.00
loop_
_atom_site_label
_atom_site_type_symbol
_atom_site_fract_x
_atom_site_fract_y
_atom_site_fract_z
_atom_site_occupancy
Na1 Na 0.2095 0.1978 0.3792 1
Mo1 Mo 0.2399 0.4110 0.1395 1
P1 P 0.2406 0.1348 0.6802 1
P2 P 0.2421 0.0912 0.0453 1
O1 O 0.0028 0.5532 0.5138 1
O2 O 0.0128 0.6620 0.7603 1
O3 O 0.0299 0.9552 0.4777 1
O4 O 0.0355 0.8375 0.2600 1
O5 O 0.2297 0.7995 0.0696 1
O6 O 0.2465 0.7741 0.5767 1
O7 O 0.2482 0.9840 0.6639 1
O8 O 0.2494 0.5542 0.1998 1
```

Largest 12 diffraction maxima, low angle first, 2θ = 10–90°:
2theta, Rel. int.
11.1, 19.9
17.1, 18.9
18.0, 62.2
22.5, 100.0
24.7, 14.0
25.8, 34.1
28.0, 16.6
29.5, 16.9
32.8, 38.9
33.7, 21.8
46.0, 15.5
54.8, 12.7